No. 1
Structure and theoretical X-ray diffraction stick pattern of Y2Cu4Se5 (a DFT-relaxed cell (GGA-PBE, Alexandria); Cu Ka).

Crystal structure
Lattice parameters (Å, degrees): 4.0177 4.0177 49.9536 90.00 90.00 120.00
Space group R-3m (No. 166, hexagonal axes)
Symmetry-distinct sites (fractional):
Y 0.0000 0.0000 0.1322 x6
Cu 0.0000 0.0000 0.3139 x6
Cu 0.0000 0.0000 0.4143 x6
Se 0.0000 0.0000 0.2358 x6
Se 0.0000 0.0000 0.3662 x6
Se 0.0000 0.0000 0.5000 x3

The 8 most intense peaks (10 to 80 degrees two-theta), sorted by position:
hkl	2θ/deg	Rel. int.
1 0 1	25.66	32
1 0 4	26.59	21
0 1 8	29.39	47
0 1 11	32.42	85
1 0 16	38.75	31
1 1 0	45.13	100
1 0 22	47.83	50
1 1 18	56.56	21



No. 2
Structure and theoretical X-ray diffraction stick pattern of Y4CuSe (a DFT-relaxed cell (GGA-PBE, Alexandria); Cu Ka).

Crystal structure
Lattice parameters (Å, degrees): 8.8394 8.8394 8.8394 90.00 90.00 90.00
Space group F-43m (No. 216)
Symmetry-distinct sites (fractional):
Y 0.1247 0.1247 0.1247 x16
Cu 0.2500 0.2500 0.7500 x4
Se 0.0000 0.0000 0.5000 x4

The 8 most intense peaks (10 to 80 degrees two-theta), sorted by position:
hkl	2θ/deg	Rel. int.
1 1 1	17.38	13
2 2 0	28.56	21
3 1 1	33.63	100
2 2 2	35.17	47
5 1 1	53.90	33
4 4 0	59.12	30
5 3 3	69.77	11
6 2 2	70.69	17



No. 3
Structure and theoretical X-ray diffraction stick pattern of YbCu3Se3 (a DFT-relaxed cell (GGA-PBE, Alexandria); Cu Ka).

Crystal structure
Lattice parameters (Å, degrees): 6.9758 6.9758 20.2049 90.00 90.00 120.00
Space group R-3 (No. 148, hexagonal axes)
Symmetry-distinct sites (fractional):
Yb 0.0000 0.0000 0.1664 x6
Cu 0.0022 0.3483 0.6261 x18
Se 0.0015 0.3262 0.4162 x18

The 8 most intense peaks (10 to 80 degrees two-theta), sorted by position:
hkl	2θ/deg	Rel. int.
1 0 1	15.31	25
0 1 2	17.10	17
1 1 3	28.83	100
1 1 6	37.11	87
3 0 0	45.02	81
2 -1 9	48.21	44
4 -2 6	59.71	22
4 1 6	77.80	18